Starting from the PBE geometry in Alexandria, the powder diffraction line list of La6FeCoSn2 was computed for Cu Ka.
No peak broadening, texture or thermal motion is included.

Crystal structure
```
La6FeCoSn2
1.0
5.2648 -5.2838 0.0000
5.2648 5.2838 0.0000
-5.2618 0.0000 5.2899
La Fe Co Sn
6 1 1 2
Direct
0.0000 0.0000 0.0000
0.9996 0.5013 0.5011
0.5013 0.9996 0.5011
0.5008 0.5008 0.0019
0.5030 0.5030 0.5012
0.9965 0.9965 0.5008
0.7626 0.7626 0.5023
0.2518 0.2518 0.5007
0.0013 0.5014 0.0011
0.5014 0.0013 0.0011
```

Top 10 peaks for 2θ = 10–90°, low angle first:
2θ (°), I/Imax
29.3, 1000
33.9, 540
34.1, 265
48.7, 290
48.8, 287
57.9, 300
58.1, 149
60.8, 198
79.1, 124
81.4, 130